No. 1
Starting from a structure optimized by DFT (GGA+U), the powder diffraction line list of LiFe2B2O6 was computed for copper Kα.
Lines closer than 0.1° are merged.

Peak list (12 most intense, 2θ from 10° to 80°, low angle first)
19.5 deg, rel. 29, (0 2 1); 19.6 deg, rel. 50, (1 -1 0); 21.5 deg, rel. 100, (0 2 2); 26.0 deg, rel. 46, (1 1 -1); 26.5 deg, rel. 33, (0 2 3); 34.1 deg, rel. 19, (1 3 2); 34.3 deg, rel. 48, (-1 3 1); 35.2 deg, rel. 65, (0 0 4); 40.5 deg, rel. 30, (2 2 1); 40.9 deg, rel. 17, (2 -2 1); 49.2 deg, rel. 23, (1 1 6); 53.8 deg, rel. 15, (2 4 2)

Cell and atoms:
a b c (Å): 5.227 9.106 11.398
angles (deg): 67.33 77.00 89.63
Space group P1 (No. 1)
Symmetry-distinct sites (fractional):
Li 0.000 0.000 0.000
Li 0.053 0.035 0.244
Li 0.245 0.264 0.492
Li 0.762 0.776 0.756
Fe 0.017 0.674 0.976
Fe 0.055 0.382 0.219
Fe 0.263 0.606 0.470
Fe 0.285 0.975 0.726
Fe 0.496 0.189 0.971
Fe 0.559 0.875 0.223
Fe 0.758 0.095 0.469
Fe 0.789 0.455 0.722
B 0.060 0.724 0.217
B 0.268 0.935 0.466
B 0.292 0.637 0.721
B 0.522 0.853 0.966
B 0.538 0.207 0.232
B 0.753 0.422 0.477
B 0.801 0.139 0.712
B 0.996 0.344 0.969
O 0.017 0.954 0.449
O 0.066 0.152 0.700
O 0.079 0.454 0.013
O 0.114 0.206 0.987
O 0.145 0.739 0.771
O 0.162 0.553 0.668
O 0.266 0.690 0.280
O 0.269 0.863 0.939
O 0.381 0.037 0.510
O 0.402 0.327 0.247
O 0.410 0.819 0.438
O 0.447 0.103 0.183
O 0.497 0.441 0.471
O 0.553 0.622 0.723
O 0.612 0.959 0.010
O 0.641 0.242 0.753
O 0.680 0.741 0.943
O 0.691 0.025 0.676
O 0.781 0.178 0.271
O 0.784 0.376 0.910
O 0.890 0.513 0.522
O 0.893 0.308 0.441
O 0.946 0.866 0.199
O 0.977 0.619 0.168

***

No. 2
Starting from a structure optimized by DFT (GGA+U), the powder diffraction line list of LiFe2B2O6 was computed for copper Kα.
Lines closer than 0.1° are merged.

Peak list (12 most intense, 2θ from 10° to 80°, low angle first)
19.4 deg, rel. 28, (1 -1 0); 19.6 deg, rel. 49, (0 2 0); 21.6 deg, rel. 100, (1 1 -1); 25.9 deg, rel. 47, (1 1 2); 26.7 deg, rel. 36, (1 1 -2); 33.8 deg, rel. 21, (2 0 0); 34.2 deg, rel. 47, (1 -3 0); 35.6 deg, rel. 67, (0 0 4); 40.2 deg, rel. 17, (2 2 1); 40.3 deg, rel. 17, (2 -2 1); 40.9 deg, rel. 20, (0 4 -1); 49.9 deg, rel. 23, (1 1 -5)

Cell and atoms:
a b c (Å): 5.301 9.038 10.103
angles (deg): 89.79 88.19 89.88
Space group P1 (No. 1)
Symmetry-distinct sites (fractional):
Li 0.000 0.000 0.000
Li 0.016 0.995 0.487
Li 0.512 0.493 0.487
Li 0.694 0.982 0.741
Fe 0.021 0.341 0.458
Fe 0.022 0.656 0.956
Fe 0.196 0.169 0.711
Fe 0.198 0.823 0.215
Fe 0.504 0.162 0.967
Fe 0.520 0.837 0.462
Fe 0.687 0.644 0.717
Fe 0.690 0.328 0.213
B 0.010 0.326 0.959
B 0.018 0.665 0.460
B 0.183 0.161 0.211
B 0.193 0.835 0.716
B 0.525 0.164 0.463
B 0.529 0.823 0.960
B 0.681 0.316 0.702
B 0.693 0.664 0.209
O 0.037 0.277 0.256
O 0.057 0.713 0.762
O 0.059 0.968 0.701
O 0.080 0.021 0.196
O 0.129 0.458 0.948
O 0.129 0.803 0.416
O 0.132 0.194 0.913
O 0.162 0.542 0.462
O 0.268 0.163 0.505
O 0.270 0.819 0.000
O 0.433 0.182 0.174
O 0.448 0.829 0.682
O 0.548 0.788 0.244
O 0.554 0.444 0.687
O 0.558 0.186 0.748
O 0.600 0.528 0.228
O 0.628 0.298 0.419
O 0.650 0.957 0.946
O 0.656 0.692 0.932
O 0.667 0.038 0.469
O 0.764 0.666 0.500
O 0.774 0.309 0.017
O 0.936 0.304 0.666
O 0.941 0.687 0.158